(1)
Computed PXRD pattern of MnCrPbO6 for Cu Kα (λ = 1.5418 Å), from the PBE+U geometry in Alexandria.
Neutral-atom scattering factors, no anomalous dispersion.

Crystal structure
```
data_MnCrPbO6
_chemical_formula_sum 'Mn2 Cr2 Pb2 O12'
_symmetry_space_group_name_H-M 'P 1'
_symmetry_Int_Tables_number 1
_symmetry_space_group_name_Hall 'P 1'
_cell_length_a 4.672
_cell_length_b 4.672
_cell_length_c 9.393
_cell_angle_alpha 90.00
_cell_angle_beta 90.00
_cell_angle_gamma 90.00
loop_
_atom_site_label
_atom_site_fract_x
_atom_site_fract_y
_atom_site_fract_z
Mn1 0.000 0.000 0.000
Mn2 0.500 0.500 0.500
Cr1 0.000 0.000 0.333
Cr2 0.500 0.500 0.833
Pb1 0.000 0.000 0.664
Pb2 0.500 0.500 0.164
O1 0.175 0.175 0.164
O2 0.206 0.206 0.485
O3 0.207 0.207 0.846
O4 0.293 0.707 0.346
O5 0.294 0.706 0.985
O6 0.325 0.675 0.664
O7 0.675 0.325 0.664
O8 0.706 0.294 0.985
O9 0.707 0.293 0.346
O10 0.793 0.793 0.846
O11 0.794 0.794 0.485
O12 0.825 0.825 0.164
```

Top 12 peaks for 10 to 90 degrees two-theta, sorted by position:
hkl, two_theta, I (rel.)
0 0 2, 18.90, 20
1 0 1, 21.24, 62
1 1 0, 26.99, 100
1 1 2, 33.16, 26
1 0 3, 34.48, 78
2 0 0, 38.54, 21
2 0 2, 43.26, 16
2 1 1, 44.42, 23
2 1 3, 52.67, 65
2 2 0, 55.65, 16
1 1 6, 66.04, 15
3 0 3, 67.13, 19



(2)
Computed PXRD pattern of PmMn2CrO8 for Cu Kα (λ = 1.5418 Å), from the PBE+U geometry in Alexandria.
Neutral-atom scattering factors, no anomalous dispersion.

Crystal structure
```
data_PmMn2CrO8
_chemical_formula_sum 'Pm1 Mn2 Cr1 O8'
_symmetry_space_group_name_H-M 'P 1'
_symmetry_Int_Tables_number 1
_symmetry_space_group_name_Hall 'P 1'
_cell_length_a 4.580
_cell_length_b 4.723
_cell_length_c 6.368
_cell_angle_alpha 90.47
_cell_angle_beta 90.15
_cell_angle_gamma 92.82
loop_
_atom_site_label
_atom_site_fract_x
_atom_site_fract_y
_atom_site_fract_z
Pm1 0.000 0.000 0.000
Mn1 0.499 0.500 0.262
Mn2 0.501 0.500 0.738
Cr1 0.000 0.000 0.500
O1 0.235 0.174 0.709
O2 0.245 0.172 0.287
O3 0.273 0.667 0.500
O4 0.296 0.621 0.000
O5 0.704 0.379 0.000
O6 0.727 0.333 0.500
O7 0.755 0.828 0.713
O8 0.765 0.826 0.291
```

Top 12 peaks for 10 to 90 degrees two-theta, sorted by position:
hkl, two_theta, I (rel.)
0 0 1, 13.91, 16
1 0 -1, 23.95, 20
1 -1 0, 26.47, 100
1 1 0, 27.83, 79
0 1 -2, 33.84, 28
0 1 2, 34.11, 27
1 0 -2, 34.32, 77
0 2 0, 38.16, 23
1 -2 2, 51.30, 15
-2 1 2, 52.20, 37
2 1 -2, 53.59, 15
2 1 2, 53.92, 15